[1]
The following is a calculated PXRD pattern of LiHoNi10. It was derived from a cell relaxed with PBE, using Cu Kα.
Kinematic intensities with the Lorentz-polarization factor, no thermal factor.

Cell and atoms:
Unit cell a=3.971 b=4.782 c=8.278 alpha=90.00 beta=90.00 gamma=90.00
Space group Pmmm (No. 47)
Inequivalent atoms, fractional coordinates:
1 Li 0.000 0.000 0.000 x1
2 Ho 0.000 0.500 0.500 x1
3 Ni 0.000 0.000 0.321 x2
4 Ni 0.000 0.500 0.158 x2
5 Ni 0.500 0.000 0.500 x1
6 Ni 0.500 0.251 0.249 x4
7 Ni 0.500 0.500 0.000 x1

Most intense lines, 5 to 70 degrees two-theta, in order of rising 2θ:
2θ/deg, d (Å), I (rel.)
10.7, 8.278, 33
31.2, 2.866, 24
37.6, 2.390, 23
43.7, 2.070, 31
44.2, 2.048, 100
45.7, 1.986, 37
49.7, 1.835, 29
65.1, 1.433, 18



[2]
The following is a calculated PXRD pattern of Ti2Cd2Cl2O5. It was derived from a cell relaxed with PBE, using Cu Kα.
Kinematic intensities with the Lorentz-polarization factor, no thermal factor.

Cell and atoms:
Unit cell a=3.720 b=3.720 c=26.565 alpha=90.00 beta=90.00 gamma=90.00
Space group I4/mmm (No. 139)
Inequivalent atoms, fractional coordinates:
1 Ti 0.000 0.000 0.068 x4
2 Cd 0.000 0.000 0.354 x4
3 Cl 0.000 0.000 0.193 x4
4 O 0.000 0.000 0.000 x2
5 O 0.000 0.500 0.089 x8

Most intense lines, 5 to 70 degrees two-theta, in order of rising 2θ:
2θ/deg, d (Å), I (rel.)
13.3, 6.641, 99
26.0, 3.429, 59
33.7, 2.656, 100
34.1, 2.630, 47
39.9, 2.261, 21
44.7, 2.026, 21
49.0, 1.860, 29
60.8, 1.524, 35



[3]
The following is a calculated PXRD pattern of PmBeRh. It was derived from a cell relaxed with PBE, using Cu Kα.
Kinematic intensities with the Lorentz-polarization factor, no thermal factor.

Cell and atoms:
Unit cell a=6.771 b=9.085 c=4.068 alpha=90.00 beta=90.00 gamma=90.00
Space group Cmmm (No. 65)
Inequivalent atoms, fractional coordinates:
1 Pm 0.000 0.198 0.000 x4
2 Be 0.167 0.500 0.500 x4
3 Rh 0.000 0.000 0.500 x2
4 Rh 0.000 0.500 0.000 x2

Most intense lines, 5 to 70 degrees two-theta, in order of rising 2θ:
2θ/deg, d (Å), I (rel.)
21.9, 4.068, 44
26.3, 3.386, 90
29.5, 3.030, 33
32.4, 2.764, 27
34.5, 2.602, 32
39.4, 2.286, 100
52.5, 1.743, 27
55.6, 1.653, 39



[4]
The following is a calculated PXRD pattern of Y2Ga3Si. It was derived from a cell relaxed with PBE, using Cu Kα.
Kinematic intensities with the Lorentz-polarization factor, no thermal factor.

Cell and atoms:
Unit cell a=4.080 b=4.166 c=7.208 alpha=90.00 beta=90.00 gamma=90.00
Space group Pmm2 (No. 25)
Inequivalent atoms, fractional coordinates:
1 Y 0.000 0.000 0.000 x1
2 Y 0.000 0.500 0.488 x1
3 Ga 0.500 0.000 0.660 x1
4 Ga 0.500 0.500 0.161 x1
5 Ga 0.500 0.500 0.825 x1
6 Si 0.500 0.000 0.329 x1

Most intense lines, 5 to 70 degrees two-theta, in order of rising 2θ:
2θ/deg, d (Å), I (rel.)
12.3, 7.208, 2
21.8, 4.080, 2
24.7, 3.606, 5
33.2, 2.702, 100
43.5, 2.082, 45
44.4, 2.040, 14
55.7, 1.649, 22
63.9, 1.457, 28



[5]
The following is a calculated PXRD pattern of MgH12Cl2O6. It was derived from a cell relaxed with PBE, using Cu Kα.
Kinematic intensities with the Lorentz-polarization factor, no thermal factor.

Cell and atoms:
Unit cell a=9.852 b=7.116 c=6.193 alpha=90.00 beta=95.21 gamma=90.00
Space group C2/m (No. 12)
Inequivalent atoms, fractional coordinates:
1 Mg 0.000 0.000 0.000 x2
2 H 0.028 0.302 0.284 x8
3 H 0.114 0.198 0.683 x8
4 H 0.222 0.500 0.982 x4
5 H 0.244 0.000 0.265 x4
6 Cl 0.188 0.500 0.389 x4
7 O 0.040 0.210 0.779 x8
8 O 0.204 0.000 0.113 x4

Most intense lines, 5 to 70 degrees two-theta, in order of rising 2θ:
2θ/deg, d (Å), I (rel.)
21.7, 4.102, 100
30.1, 2.972, 38
31.1, 2.880, 82
32.2, 2.781, 58
33.7, 2.663, 91
38.6, 2.330, 34
40.8, 2.211, 34
48.8, 1.866, 35



[6]
The following is a calculated PXRD pattern of Bi2RuO6. It was derived from a cell relaxed with PBE, using Cu Kα.
Kinematic intensities with the Lorentz-polarization factor, no thermal factor.

Cell and atoms:
Unit cell a=4.217 b=4.217 c=16.096 alpha=90.00 beta=90.00 gamma=90.00
Space group I-42m (No. 121)
Inequivalent atoms, fractional coordinates:
1 Bi 0.000 0.000 0.179 x4
2 Ru 0.000 0.000 0.500 x2
3 O 0.000 0.500 0.250 x4
4 O 0.236 0.236 0.431 x8

Most intense lines, 5 to 70 degrees two-theta, in order of rising 2θ:
2θ/deg, d (Å), I (rel.)
11.0, 8.048, 14
26.9, 3.315, 100
30.0, 2.982, 34
35.1, 2.559, 10
42.9, 2.109, 13
45.5, 1.994, 24
51.4, 1.779, 34
55.4, 1.658, 13



[7]
The following is a calculated PXRD pattern of PuAg5Cl12. It was derived from a cell relaxed with PBE, using Cu Kα.
Kinematic intensities with the Lorentz-polarization factor, no thermal factor.

Cell and atoms:
Unit cell a=6.654 b=6.719 c=12.827 alpha=87.14 beta=80.99 gamma=68.68
Space group P-1 (No. 2)
Inequivalent atoms, fractional coordinates:
1 Pu 0.000 0.000 0.000 x1
2 Ag 0.167 0.666 0.500 x2
3 Ag 0.410 0.261 0.966 x2
4 Ag 0.500 0.000 0.500 x1
5 Cl 0.095 0.274 0.872 x2
6 Cl 0.150 0.385 0.386 x2
7 Cl 0.183 0.948 0.613 x2
8 Cl 0.235 0.050 0.135 x2
9 Cl 0.342 0.685 0.905 x2
10 Cl 0.484 0.716 0.386 x2

Most intense lines, 5 to 70 degrees two-theta, in order of rising 2θ:
2θ/deg, d (Å), I (rel.)
14.0, 6.334, 100
24.1, 3.697, 23
25.4, 3.509, 15
27.4, 3.259, 14
28.8, 3.097, 14
30.3, 2.950, 15
35.6, 2.519, 15
36.4, 2.468, 15



[8]
The following is a calculated PXRD pattern of Sc3CuHg2. It was derived from a cell relaxed with PBE, using Cu Kα.
Kinematic intensities with the Lorentz-polarization factor, no thermal factor.

Cell and atoms:
Unit cell a=3.305 b=3.305 c=11.180 alpha=90.00 beta=90.00 gamma=90.00
Space group P4/mmm (No. 123)
Inequivalent atoms, fractional coordinates:
1 Sc 0.000 0.000 0.000 x1
2 Sc 0.000 0.000 0.357 x2
3 Cu 0.500 0.500 0.500 x1
4 Hg 0.500 0.500 0.180 x2

Most intense lines, 5 to 70 degrees two-theta, in order of rising 2θ:
2θ/deg, d (Å), I (rel.)
7.9, 11.180, 18
23.9, 3.727, 23
27.0, 3.305, 35
31.4, 2.845, 19
36.3, 2.473, 100
38.5, 2.337, 46
45.8, 1.980, 18
68.3, 1.374, 31